No. 1
This entry pairs a crystal structure of Ho7Sb2Ir2 with its computed X-ray diffraction stick pattern. Radiation: Cu Kα, 1.54184 Å. Structure: DFT lattice parameters and positions (GGA-PBE).

Atomic structure:
```
data_Ho7Sb2Ir2
_chemical_formula_sum 'Ho14 Sb4 Ir4'
_cell_length_a 4.020
_cell_length_b 15.716
_cell_length_c 9.244
_cell_angle_alpha 90.00
_cell_angle_beta 90.00
_cell_angle_gamma 90.00
_space_group_name_H-M_alt 'I m m 2'
_space_group_IT_number 44
loop_
_space_group_symop_operation_xyz
'x,y,z'
'-x,-y,z'
'-x,y,z'
'x,-y,z'
'x+1/2,y+1/2,z+1/2'
'-x+1/2,-y+1/2,z+1/2'
'-x+1/2,y+1/2,z+1/2'
'x+1/2,-y+1/2,z+1/2'
loop_
_atom_site_label
_atom_site_type_symbol
_atom_site_fract_x
_atom_site_fract_y
_atom_site_fract_z
Ho1 Ho 0.000 0.000 0.000
Ho2 Ho 0.000 0.127 0.588
Ho3 Ho 0.000 0.314 0.377
Ho4 Ho 0.000 0.353 0.744
Sb1 Sb 0.000 0.000 0.333
Sb2 Sb 0.000 0.500 0.247
Ir1 Ir 0.000 0.241 0.072
```

Main lines, by angle (2θ = 10–90°):
2θ/deg  I_rel  h k l
11.26  21  0 2 0
30.01  55  0 5 1
33.33  100  1 4 1
33.75  36  0 3 3
34.17  42  1 3 2
36.75  21  1 0 3
38.55  30  1 2 3
39.55  14  0 6 2
45.11  27  2 0 0
57.51  22  2 3 3

***

No. 2
This entry pairs a crystal structure of HoSc2Ir2 with its computed X-ray diffraction stick pattern. Radiation: Cu Kα, 1.54184 Å. Structure: DFT lattice parameters and positions (GGA-PBE).

Atomic structure:
```
data_HoSc2Ir2
_chemical_formula_sum 'Ho1 Sc2 Ir2'
_cell_length_a 4.6303
_cell_length_b 4.6303
_cell_length_c 5.6611
_cell_angle_alpha 90.00
_cell_angle_beta 90.00
_cell_angle_gamma 120.00
_space_group_name_H-M_alt 'P -3 m 1'
_space_group_IT_number 164
_space_group_name_Hall '-P 3 2"'
loop_
_atom_site_label
_atom_site_type_symbol
_atom_site_fract_x
_atom_site_fract_y
_atom_site_fract_z
Ho1 Ho 0.0000 0.0000 0.0000
Sc1 Sc 0.3333 0.6667 0.3443
Ir1 Ir 0.3333 0.6667 0.8231
```

Main lines, by angle (2θ = 10–90°):
2θ/deg  I_rel  h k l
15.65  30  0 0 1
27.25  40  1 0 1
38.92  100  1 1 0
42.17  16  1 1 1
48.15  9  0 2 1
53.68  10  0 1 3
56.22  17  0 2 2
63.55  9  2 1 1
70.47  26  3 0 0
70.57  9  0 1 4

***

No. 3
This entry pairs a crystal structure of Ho7IrSe5 with its computed X-ray diffraction stick pattern. Radiation: Cu Kα, 1.54184 Å. Structure: DFT lattice parameters and positions (GGA-PBE).

Atomic structure:
```
data_Ho7IrSe5
_chemical_formula_sum 'Ho28 Ir4 Se20'
_cell_length_a 3.938
_cell_length_b 13.378
_cell_length_c 24.341
_cell_angle_alpha 90.00
_cell_angle_beta 90.00
_cell_angle_gamma 90.00
_space_group_name_H-M_alt 'C m c 21'
_space_group_IT_number 36
loop_
_space_group_symop_operation_xyz
'x,y,z'
'-x,-y,z+1/2'
'-x,y,z'
'x,-y,z+1/2'
'x+1/2,y+1/2,z'
'-x+1/2,-y+1/2,z+1/2'
'-x+1/2,y+1/2,z'
'x+1/2,-y+1/2,z+1/2'
loop_
_atom_site_label
_atom_site_type_symbol
_atom_site_fract_x
_atom_site_fract_y
_atom_site_fract_z
Ho1 Ho 0.000 0.046 0.000
Ho2 Ho 0.000 0.131 0.717
Ho3 Ho 0.000 0.147 0.291
Ho4 Ho 0.000 0.288 0.934
Ho5 Ho 0.000 0.306 0.069
Ho6 Ho 0.000 0.393 0.623
Ho7 Ho 0.000 0.421 0.364
Ir1 Ir 0.000 0.307 0.512
Se1 Se 0.000 0.047 0.611
Se2 Se 0.000 0.064 0.396
Se3 Se 0.000 0.214 0.824
Se4 Se 0.000 0.229 0.181
Se5 Se 0.000 0.490 0.751
```

Main lines, by angle (2θ = 10–90°):
2θ/deg  I_rel  h k l
28.94  71  0 2 7
30.51  24  1 3 1
31.18  100  1 3 2
32.29  90  0 2 8
41.04  48  1 1 9
44.70  29  0 6 5
45.00  26  1 5 5
46.10  36  2 0 0
55.35  23  2 2 7
66.17  21  2 6 5

***

No. 4
This entry pairs a crystal structure of Ho5IrSe4 with its computed X-ray diffraction stick pattern. Radiation: Cu Kα, 1.54184 Å. Structure: DFT lattice parameters and positions (GGA-PBE).

Atomic structure:
```
data_Ho5IrSe4
_chemical_formula_sum 'Ho10 Ir2 Se8'
_cell_length_a 4.039
_cell_length_b 4.039
_cell_length_c 29.222
_cell_angle_alpha 90.00
_cell_angle_beta 90.00
_cell_angle_gamma 90.00
_space_group_name_H-M_alt 'I 4/m m m'
_space_group_IT_number 139
_space_group_name_Hall '-I 4 2'
loop_
_atom_site_label
_atom_site_type_symbol
_atom_site_fract_x
_atom_site_fract_y
_atom_site_fract_z
Ho1 Ho 0.000 0.000 0.000
Ho2 Ho 0.000 0.000 0.207
Ho3 Ho 0.000 0.000 0.408
Ir1 Ir 0.000 0.000 0.500
Se1 Se 0.000 0.000 0.106
Se2 Se 0.000 0.000 0.306
```

Main lines, by angle (2θ = 10–90°):
2θ/deg  I_rel  h k l
26.83  14  1 0 5
30.59  46  0 0 10
31.32  100  1 1 0
44.35  67  1 1 10
44.88  37  2 0 0
55.30  35  2 0 10
65.35  12  2 2 0
73.87  15  2 2 10
74.25  17  3 1 0
82.40  26  3 1 10

***

No. 5
This entry pairs a crystal structure of HoThIrSe with its computed X-ray diffraction stick pattern. Radiation: Cu Kα, 1.54184 Å. Structure: DFT lattice parameters and positions (GGA-PBE).

Atomic structure:
```
data_HoThIrSe
_chemical_formula_sum 'Ho3 Th3 Ir3 Se3'
_cell_length_a 4.0277
_cell_length_b 4.0277
_cell_length_c 22.1121
_cell_angle_alpha 90.00
_cell_angle_beta 90.00
_cell_angle_gamma 120.00
_space_group_name_H-M_alt 'R 3 m'
_space_group_IT_number 160
_space_group_name_Hall 'R 3 -2"'
loop_
_atom_site_label
_atom_site_type_symbol
_atom_site_fract_x
_atom_site_fract_y
_atom_site_fract_z
Ho1 Ho 0.0000 0.0000 0.0000
Th1 Th 0.0000 0.0000 0.1886
Ir1 Ir 0.0000 0.0000 0.5938
Se1 Se 0.0000 0.0000 0.4219
```

Main lines, by angle (2θ = 10–90°):
2θ/deg  I_rel  h k l
12.01  33  0 0 3
26.80  36  0 1 2
32.70  100  0 1 5
38.45  29  1 0 7
45.02  46  1 1 0
48.76  25  1 0 10
56.74  21  2 0 5
69.09  17  1 1 12
75.21  19  1 2 5
85.81  10  2 1 10

***

No. 6
This entry pairs a crystal structure of Ho3Si13Ir4 with its computed X-ray diffraction stick pattern. Radiation: Cu Kα, 1.54184 Å. Structure: DFT lattice parameters and positions (GGA-PBE).

Atomic structure:
```
data_Ho3Si13Ir4
_chemical_formula_sum 'Ho6 Si26 Ir8'
_cell_length_a 8.752
_cell_length_b 8.752
_cell_length_c 8.752
_cell_angle_alpha 90.00
_cell_angle_beta 90.00
_cell_angle_gamma 90.00
_space_group_name_H-M_alt 'P m -3 n'
_space_group_IT_number 223
_space_group_name_Hall '-P 4n 2 3'
loop_
_atom_site_label
_atom_site_type_symbol
_atom_site_fract_x
_atom_site_fract_y
_atom_site_fract_z
Ho1 Ho 0.000 0.250 0.500
Si1 Si 0.000 0.000 0.000
Si2 Si 0.000 0.289 0.136
Ir1 Ir 0.250 0.250 0.250
```

Main lines, by angle (2θ = 10–90°):
2θ/deg  I_rel  h k l
20.29  70  2 0 0
22.72  53  2 1 0
28.85  50  2 2 0
35.53  100  2 2 2
37.03  49  3 2 0
41.26  65  4 0 0
46.40  38  4 2 0
51.13  41  4 2 2
59.77  33  4 4 0
71.50  45  6 2 2

***

What did the first record say?
This entry pairs a crystal structure of Ho7Sb2Ir2 with its computed X-ray diffraction stick pattern. Radiation: Cu Kα, 1.54184 Å. Structure: DFT lattice parameters and positions (GGA-PBE).

Atomic structure:
```
data_Ho7Sb2Ir2
_chemical_formula_sum 'Ho14 Sb4 Ir4'
_cell_length_a 4.020
_cell_length_b 15.716
_cell_length_c 9.244
_cell_angle_alpha 90.00
_cell_angle_beta 90.00
_cell_angle_gamma 90.00
_space_group_name_H-M_alt 'I m m 2'
_space_group_IT_number 44
loop_
_space_group_symop_operation_xyz
'x,y,z'
'-x,-y,z'
'-x,y,z'
'x,-y,z'
'x+1/2,y+1/2,z+1/2'
'-x+1/2,-y+1/2,z+1/2'
'-x+1/2,y+1/2,z+1/2'
'x+1/2,-y+1/2,z+1/2'
loop_
_atom_site_label
_atom_site_type_symbol
_atom_site_fract_x
_atom_site_fract_y
_atom_site_fract_z
Ho1 Ho 0.000 0.000 0.000
Ho2 Ho 0.000 0.127 0.588
Ho3 Ho 0.000 0.314 0.377
Ho4 Ho 0.000 0.353 0.744
Sb1 Sb 0.000 0.000 0.333
Sb2 Sb 0.000 0.500 0.247
Ir1 Ir 0.000 0.241 0.072
```

Main lines, by angle (2θ = 10–90°):
2θ/deg  I_rel  h k l
11.26  21  0 2 0
30.01  55  0 5 1
33.33  100  1 4 1
33.75  36  0 3 3
34.17  42  1 3 2
36.75  21  1 0 3
38.55  30  1 2 3
39.55  14  0 6 2
45.11  27  2 0 0
57.51  22  2 3 3